1.
The following is a simulated PXRD pattern of VIn3. It was derived from a cell relaxed with GGA-PBE, using Cu Kα (λ = 1.5418 Å).
Lines closer than 0.1° are merged.

Top 10 peaks for 10 to 90 degrees two-theta, by angle:
(1 0 1), 2θ 23.6, d = 3.764 Å, rel. 11; (1 1 0), 2θ 28.9, d = 3.088 Å, rel. 4; (2 0 0), 2θ 33.5, d = 2.674 Å, rel. 23; (0 0 2), 2θ 33.8, d = 2.649 Å, rel. 30; (2 0 1), 2θ 37.7, d = 2.387 Å, rel. 100; (2 0 2), 2θ 48.4, d = 1.882 Å, rel. 16; (2 2 0), 2θ 59.9, d = 1.544 Å, rel. 16; (2 0 3), 2θ 63.1, d = 1.474 Å, rel. 21; (2 2 2), 2θ 70.6, d = 1.334 Å, rel. 20; (4 0 1), 2θ 73.0, d = 1.296 Å, rel. 13

Crystal structure
```
VIn3
1.0
6.176 0.000 0.000
-3.088 5.348 0.000
0.000 0.000 5.297
V In
2 6
Cartesian
0.000 3.565 1.324
3.088 1.783 3.973
0.000 1.817 3.973
-1.514 4.440 3.973
1.574 0.909 1.324
1.514 4.440 3.973
4.602 0.909 1.324
3.088 3.531 1.324
```



2.
The following is a simulated PXRD pattern of CaGe2O5. It was derived from a cell relaxed with GGA-PBE, using Cu Kα (λ = 1.5418 Å).
Lines closer than 0.1° are merged.

Top 10 peaks for 10 to 90 degrees two-theta, by angle:
(0 1 0), 2θ 17.6, d = 5.029 Å, rel. 27; (0 1 -2), 2θ 27.4, d = 3.253 Å, rel. 51; (1 0 -2), 2θ 28.0, d = 3.181 Å, rel. 64; (1 1 0), 2θ 29.3, d = 3.047 Å, rel. 100; (1 -2 0), 2θ 33.5, d = 2.675 Å, rel. 62; (2 -1 0), 2θ 33.7, d = 2.661 Å, rel. 51; (1 -1 2), 2θ 34.1, d = 2.632 Å, rel. 49; (-1 1 2), 2θ 35.0, d = 2.564 Å, rel. 29; (1 1 -4), 2θ 53.1, d = 1.725 Å, rel. 27; (-3 2 2), 2θ 59.2, d = 1.561 Å, rel. 23

Crystal structure
```
CaGe2O5
1.0
5.504 0.000 0.000
-1.601 5.369 0.000
-1.482 -2.340 6.396
Ca Ge O
2 4 10
Cartesian
-0.025 1.056 1.715
2.445 1.973 4.681
-0.593 -0.020 4.835
2.752 0.000 0.000
2.011 -1.170 3.198
3.014 3.049 1.561
-1.199 3.120 2.780
-0.430 -1.490 5.812
-1.061 1.332 5.878
0.903 0.215 3.940
1.875 -0.246 1.631
0.546 3.275 4.765
1.518 2.814 2.457
3.482 1.697 0.519
2.851 4.519 0.585
3.620 -0.091 3.617
```



Question: What is the formula in the first record?
Answer: VIn3